Record 1
# Ba3MgGe2O8
Theoretical XRD peak list, Cu Kα. Input: a DFT-relaxed cell (GGA-PBE, Alexandria).
Intensities are scaled so that the largest is 100.

Largest 10 diffraction maxima, by angle, 2θ from 10° to 80°:
h k l  2θ (°)  d_spacing  I_rel
1 0 1  21.29  4.172  32
0 1 2  29.78  3.000  76
1 1 0  30.80  2.903  100
0 0 3  36.03  2.493  13
0 2 1  37.75  2.383  17
2 0 2  43.37  2.086  43
1 1 3  48.12  1.891  17
1 2 2  54.14  1.694  29
3 0 0  54.77  1.676  19
2 2 0  64.17  1.451  17

Cell and atoms:
```
Ba3MgGe2O8
1.0
5.806 0.000 0.000
-2.903 5.028 0.000
0.000 0.000 7.478
Ba Mg Ge O
3 1 2 8
direct
0.000 0.000 0.000 Ba
0.333 0.667 0.661 Ba
0.667 0.333 0.339 Ba
0.000 0.000 0.500 Mg
0.333 0.667 0.229 Ge
0.667 0.333 0.771 Ge
0.169 0.338 0.323 O
0.169 0.831 0.323 O
0.333 0.667 0.997 O
0.338 0.169 0.677 O
0.662 0.831 0.323 O
0.667 0.333 0.003 O
0.831 0.169 0.677 O
0.831 0.662 0.677 O
```


Record 2
# Ba2MgGePd6
Theoretical XRD peak list, Cu Kα. Input: a DFT-relaxed cell (GGA-PBE, Alexandria).
Intensities are scaled so that the largest is 100.

Largest 10 diffraction maxima, by angle, 2θ from 10° to 80°:
h k l  2θ (°)  d_spacing  I_rel
0 0 1  15.38  5.760  89
1 0 -1  29.96  2.982  100
0 1 -2  30.19  2.961  49
1 2 1  30.58  2.924  37
2 1 0  30.71  2.912  37
1 -1 2  30.83  2.900  38
2 0 2  32.42  2.762  54
1 -2 1  41.07  2.198  39
2 3 0  41.26  2.188  78
3 1 1  42.27  2.138  35

Cell and atoms:
```
Ba2MgGePd6
1.0
6.739 0.000 0.000
3.363 5.854 0.000
3.358 -1.883 5.760
Ba Mg Ge Pd
2 1 1 6
direct
0.091 0.205 0.114 Ba
0.909 0.795 0.886 Ba
0.500 0.500 0.000 Mg
0.500 0.000 0.500 Ge
0.013 0.310 0.625 Pd
0.311 0.825 0.376 Pd
0.445 0.366 0.380 Pd
0.555 0.634 0.620 Pd
0.689 0.175 0.624 Pd
0.987 0.690 0.375 Pd
```


Record 3
# BaMnGe
Theoretical XRD peak list, Cu Kα. Input: a DFT-relaxed cell (GGA-PBE, Alexandria).
Intensities are scaled so that the largest is 100.

Largest 10 diffraction maxima, by angle, 2θ from 10° to 80°:
h k l  2θ (°)  d_spacing  I_rel
1 0 1  22.75  3.908  19
1 1 0  28.05  3.181  45
1 0 2  30.13  2.966  100
1 1 1  30.30  2.950  19
1 1 2  36.28  2.476  55
2 0 0  40.09  2.249  52
1 0 4  50.52  1.807  26
2 1 2  50.95  1.792  45
2 2 0  57.99  1.590  17
2 1 4  66.37  1.409  23

Cell and atoms:
```
BaMnGe
1.0
4.498 0.000 0.000
0.000 4.498 0.000
0.000 0.000 7.891
Ba Mn Ge
2 2 2
direct
0.250 0.250 0.175 Ba
0.750 0.750 0.825 Ba
0.250 0.750 0.500 Mn
0.750 0.250 0.500 Mn
0.250 0.250 0.661 Ge
0.750 0.750 0.339 Ge
```


Record 4
# BaMn2GeSe8
Theoretical XRD peak list, Cu Kα. Input: a DFT-relaxed cell (GGA-PBE, Alexandria).
Intensities are scaled so that the largest is 100.

Largest 10 diffraction maxima, by angle, 2θ from 10° to 80°:
h k l  2θ (°)  d_spacing  I_rel
1 0 2  25.54  3.488  22
1 1 0  28.71  3.110  14
0 0 3  29.26  3.052  34
1 1 1  30.36  2.944  100
2 -1 2  34.88  2.572  75
1 1 4  49.44  1.843  45
3 0 0  50.86  1.795  43
2 -1 5  58.49  1.578  15
3 0 3  59.76  1.547  25
4 -2 1  60.39  1.533  13

Cell and atoms:
```
BaMn2GeSe8
1.0
6.219 0.000 0.000
-3.110 5.386 0.000
0.000 0.000 9.156
Ba Mn Ge Se
1 2 1 8
direct
0.000 0.000 0.000 Ba
0.333 0.667 0.754 Mn
0.667 0.333 0.246 Mn
0.000 0.000 0.500 Ge
0.015 0.675 0.320 Se
0.325 0.340 0.320 Se
0.333 0.667 0.996 Se
0.340 0.015 0.680 Se
0.660 0.985 0.320 Se
0.667 0.333 0.004 Se
0.675 0.660 0.680 Se
0.985 0.325 0.680 Se
```